(1)
The following is a theoretical powder diffraction line list of Sr2GdCrO6. It was derived from a crystal structure in the Materials Project, relaxed with PBE+U, using Cu Kα, 1.54184 Å.
Peak positions follow from Bragg's law for the DFT cell and can differ from measured ones.

Peak list (12 most intense, 10 to 90 degrees two-theta, low angle first)
Position (°2θ)	d (Å)	I_rel
18.67	4.753	13
21.59	4.117	5
30.72	2.911	100
36.19	2.482	11
43.99	2.058	33
48.18	1.889	7
54.61	1.681	39
58.23	1.584	3
63.97	1.455	20
72.63	1.302	18
80.89	1.188	6
88.97	1.100	21

Crystal structure
```
10
Lattice="0.000 4.117 4.117 4.117 0.000 4.117 4.117 4.117 0.000" Properties=species:S:1:pos:R:3 pbc="T T T"
Sr 2.058 2.058 2.058
Sr 6.175 6.175 6.175
Gd 0.000 0.000 0.000
Cr 4.117 4.117 4.117
O 4.117 4.117 2.229
O 4.117 2.229 4.117
O 6.004 4.117 4.117
O 2.229 4.117 4.117
O 4.117 6.004 4.117
O 4.117 4.117 6.004
```

---

(2)
The following is a theoretical powder diffraction line list of LiMn2P2O10. It was derived from a crystal structure in the Materials Project, relaxed with PBE+U, using Cu Kα, 1.54184 Å.
Peak positions follow from Bragg's law for the DFT cell and can differ from measured ones.

Peak list (12 most intense, 10 to 90 degrees two-theta, low angle first)
Position (°2θ)	d (Å)	I_rel
18.37	4.829	35
18.73	4.737	63
19.01	4.669	25
22.31	3.986	22
26.47	3.367	15
26.62	3.348	14
27.12	3.288	12
27.43	3.252	13
28.00	3.187	100
29.87	2.992	55
36.50	2.462	13
36.74	2.446	33

Crystal structure
```
30
Lattice="6.698 0.000 0.000 3.133 6.230 0.000 0.143 -0.049 7.971" Properties=species:S:1:pos:R:3 pbc="T T T"
Li 0.000 0.000 0.000
Li 3.531 0.426 3.996
Mn 1.079 1.708 2.534
Mn 2.661 4.808 2.581
Mn 4.525 1.654 6.548
Mn 6.107 4.750 6.546
P 1.898 3.181 7.862
P 0.458 0.144 5.195
P 5.173 3.202 3.879
P 3.716 0.155 1.215
O 1.783 3.287 3.192
O 0.388 0.096 1.918
O 2.587 4.273 0.687
O 1.481 0.868 4.287
O 4.344 5.587 6.308
O 2.779 2.135 7.149
O 2.879 1.185 2.023
O 4.370 3.971 2.812
O 4.195 2.369 4.769
O 5.949 5.435 0.408
O 5.218 3.244 7.182
O 3.818 0.058 5.910
O 6.044 4.180 4.695
O 4.766 0.852 0.307
O 7.601 5.662 2.371
O 6.026 2.175 3.104
O 6.324 1.133 6.055
O 7.816 3.907 6.747
O 7.455 2.457 0.795
O 9.343 5.467 4.387
```

---

(3)
The following is a theoretical powder diffraction line list of Ca7MgCo8O24. It was derived from a crystal structure in the Materials Project, relaxed with PBE+U, using Cu Kα, 1.54184 Å.
Peak positions follow from Bragg's law for the DFT cell and can differ from measured ones.

Peak list (9 most intense, 10 to 90 degrees two-theta, low angle first)
Position (°2θ)	d (Å)	I_rel
23.57	3.774	27
33.58	2.669	100
41.44	2.179	3
48.23	1.887	50
54.36	1.688	9
60.05	1.541	35
70.59	1.334	27
75.59	1.258	3
80.48	1.193	14

Crystal structure
```
40
Lattice="7.548 0.000 0.000 0.000 7.548 0.000 0.000 0.000 7.548" Properties=species:S:1:pos:R:3 pbc="T T T"
Ca 0.000 0.000 0.000
Ca 0.000 0.000 3.774
Ca 0.000 3.774 0.000
Ca 0.000 3.774 3.774
Ca 3.774 0.000 0.000
Ca 3.774 0.000 3.774
Ca 3.774 3.774 0.000
Mg 3.774 3.774 3.774
Co 1.889 1.889 1.889
Co 1.889 1.889 5.659
Co 1.889 5.659 1.889
Co 1.889 5.659 5.659
Co 5.659 1.889 1.889
Co 5.659 1.889 5.659
Co 5.659 5.659 1.889
Co 5.659 5.659 5.659
O 0.000 1.887 1.887
O 0.000 1.887 5.661
O 0.000 5.661 1.887
O 0.000 5.661 5.661
O 1.887 0.000 1.887
O 1.887 0.000 5.661
O 1.887 1.887 0.000
O 1.887 5.661 0.000
O 1.893 1.893 3.774
O 1.893 3.774 1.893
O 1.893 3.774 5.655
O 1.893 5.655 3.774
O 3.774 1.893 1.893
O 3.774 1.893 5.655
O 3.774 5.655 1.893
O 3.774 5.655 5.655
O 5.655 1.893 3.774
O 5.655 3.774 1.893
O 5.655 3.774 5.655
O 5.655 5.655 3.774
O 5.661 0.000 1.887
O 5.661 0.000 5.661
O 5.661 1.887 0.000
O 5.661 5.661 0.000
```

---

(4)
The following is a theoretical powder diffraction line list of V3Sb2P6O24. It was derived from a crystal structure in the Materials Project, relaxed with PBE+U, using Cu Kα, 1.54184 Å.
Peak positions follow from Bragg's law for the DFT cell and can differ from measured ones.

Peak list (12 most intense, 10 to 90 degrees two-theta, low angle first)
Position (°2θ)	d (Å)	I_rel
14.25	6.217	33
20.59	4.313	82
23.14	3.844	44
23.82	3.736	100
25.13	3.544	30
30.37	2.944	24
31.16	2.870	30
31.68	2.824	57
32.70	2.738	28
36.07	2.490	40
48.75	1.868	27
56.44	1.630	24

Crystal structure
```
35
Lattice="4.313 2.490 7.473 -4.313 2.490 7.473 0.000 -4.981 7.473" Properties=species:S:1:pos:R:3 pbc="T T T"
V 0.000 0.000 0.000
V 0.000 0.000 4.692
V 0.000 0.000 11.795
Sb 0.000 0.000 8.438
Sb 0.000 0.000 18.468
P -1.129 -2.826 9.834
P -2.700 0.098 13.791
P -1.882 2.391 9.834
P 1.265 -2.387 13.791
P 3.012 0.435 9.834
P 1.434 2.289 13.791
O -0.620 -3.415 8.528
O -1.531 0.346 5.761
O -3.275 -1.348 13.805
O -0.551 -3.483 11.075
O 0.465 -1.499 5.761
O -2.648 2.244 8.528
O -0.649 -1.315 9.951
O -2.741 2.219 11.075
O -1.634 -0.026 12.591
O -0.815 1.219 9.951
O 1.065 1.153 5.761
O -2.183 0.656 15.073
O -1.115 -1.238 17.335
O 0.840 -1.402 12.591
O 0.524 -2.219 15.073
O 1.463 0.096 9.951
O 0.794 1.428 12.591
O 2.805 -2.162 13.805
O -0.515 1.585 17.335
O 3.267 1.171 8.528
O 0.470 3.510 13.805
O 1.630 -0.347 17.335
O 3.292 1.265 11.075
O 1.660 1.563 15.074
```